Record 1
Calculated powder diffraction line list
Compound: SiNi2Ge
Radiation: Cu Ka
Structure: a cell relaxed with GGA-PBE
Neutral-atom scattering factors, no anomalous dispersion.

Peak list (10 most intense, 2θ from 15° to 90°, sorted by position)
hkl 1 0 1, 2θ = 30.31°, I 389
hkl 1 1 1, 2θ = 34.85°, I 641
hkl 0 1 2, 2θ = 35.99°, I 367
hkl 1 1 2, 2θ = 44.81°, I 726
hkl 1 2 1, 2θ = 46.16°, I 1000
hkl 0 2 2, 2θ = 47.07°, I 295
hkl 2 0 0, 2θ = 53.03°, I 356
hkl 1 0 3, 2θ = 55.46°, I 271
hkl 0 3 3, 2θ = 73.59°, I 222
hkl 2 3 1, 2θ = 79.60°, I 233

Atomic structure:
```
data_SiNi2Ge
_symmetry_space_group_name_H-M 'P m n 21'
_symmetry_Int_Tables_number 31
_symmetry_space_group_name_Hall 'P 2ac -2'
_cell_length_a 3.454
_cell_length_b 5.278
_cell_length_c 5.664
_cell_angle_alpha 90.00
_cell_angle_beta 90.00
_cell_angle_gamma 90.00
loop_
_atom_site_label
_atom_site_type_symbol
_atom_site_fract_x
_atom_site_fract_y
_atom_site_fract_z
Si1 Si 0.000 0.066 0.000
Ni1 Ni 0.000 0.230 0.402
Ni2 Ni 0.000 0.753 0.278
Ge1 Ge 0.000 0.566 0.678
```


Record 2
Calculated powder diffraction line list
Compound: Zr2Zn3Mo4C3
Radiation: Cu Ka
Structure: a cell relaxed with GGA-PBE
Neutral-atom scattering factors, no anomalous dispersion.

Peak list (10 most intense, 2θ from 15° to 90°, sorted by position)
hkl 3 1 -1, 2θ = 33.24°, I 397
hkl 0 2 1, 2θ = 33.87°, I 299
hkl 3 1 0, 2θ = 33.98°, I 155
hkl 1 1 4, 2θ = 34.62°, I 144
hkl 3 1 -4, 2θ = 38.78°, I 1000
hkl 0 2 3, 2θ = 38.89°, I 894
hkl 3 1 2, 2θ = 39.08°, I 840
hkl 0 0 6, 2θ = 39.95°, I 591
hkl 2 2 1, 2θ = 40.24°, I 255
hkl 6 0 -2, 2θ = 59.38°, I 342

Atomic structure:
```
data_Zr2Zn3Mo4C3
_symmetry_space_group_name_H-M 'C 1 2/c 1'
_symmetry_Int_Tables_number 15
_symmetry_space_group_name_Hall '-C 2yc'
_cell_length_a 9.331
_cell_length_b 5.396
_cell_length_c 13.923
_cell_angle_alpha 90.00
_cell_angle_beta 103.47
_cell_angle_gamma 90.00
loop_
_atom_site_label
_atom_site_type_symbol
_atom_site_fract_x
_atom_site_fract_y
_atom_site_fract_z
Zr1 Zr 0.043 0.082 0.389
Zn1 Zn 0.000 0.429 0.750
Zn2 Zn 0.243 0.156 0.751
Mo1 Mo 0.111 0.410 0.579
Mo2 Mo 0.226 0.420 0.921
C1 C 0.083 0.248 0.000
C2 C 0.250 0.250 0.500
```


Record 3
Calculated powder diffraction line list
Compound: BaCdAg2Ge
Radiation: Cu Ka
Structure: a cell relaxed with GGA-PBE
Neutral-atom scattering factors, no anomalous dispersion.

Peak list (10 most intense, 2θ from 15° to 90°, sorted by position)
hkl 1 1 2, 2θ = 30.73°, I 1000
hkl 1 0 3, 2θ = 31.08°, I 583
hkl 2 0 0, 2θ = 36.58°, I 737
hkl 1 1 4, 2θ = 42.79°, I 230
hkl 1 0 5, 2θ = 46.47°, I 155
hkl 2 1 3, 2θ = 48.74°, I 325
hkl 2 2 0, 2θ = 52.69°, I 249
hkl 1 1 6, 2θ = 58.38°, I 150
hkl 2 1 5, 2θ = 60.54°, I 138
hkl 3 1 2, 2θ = 62.24°, I 250

Atomic structure:
```
data_BaCdAg2Ge
_symmetry_space_group_name_H-M 'I 4 m m'
_symmetry_Int_Tables_number 107
_symmetry_space_group_name_Hall 'I 4 -2'
_cell_length_a 4.914
_cell_length_b 4.914
_cell_length_c 10.650
_cell_angle_alpha 90.00
_cell_angle_beta 90.00
_cell_angle_gamma 90.00
loop_
_atom_site_label
_atom_site_type_symbol
_atom_site_fract_x
_atom_site_fract_y
_atom_site_fract_z
Ba1 Ba 0.000 0.000 0.000
Cd1 Cd 0.000 0.000 0.623
Ag1 Ag 0.000 0.500 0.264
Ge1 Ge 0.000 0.000 0.364
```